Structure and theoretical powder X-ray diffraction pattern of Nd2Fe21B6 (the GGA-PBE geometry in the Materials Project; Cu Kα).
Intensities are scaled so that the largest is 100.

Structural model:
Cell lengths 7.7021, 7.7021, 7.7021 Å; angles 60.00, 60.00, 60.00 degrees
Fractional coordinates of all 29 atoms:
Nd 0.2500 0.2500 0.2500
Nd 0.7500 0.7500 0.7500
Fe 0.0000 0.0000 0.0000
Fe 0.0000 0.0000 0.3377
Fe 0.0000 0.0000 0.6623
Fe 0.0000 0.3377 0.0000
Fe 0.0000 0.3377 0.6623
Fe 0.0000 0.6623 0.0000
Fe 0.0000 0.6623 0.3377
Fe 0.1671 0.6110 0.6110
Fe 0.3377 0.0000 0.0000
Fe 0.3377 0.0000 0.6623
Fe 0.3377 0.6623 0.0000
Fe 0.3890 0.3890 0.3890
Fe 0.3890 0.3890 0.8329
Fe 0.3890 0.8329 0.3890
Fe 0.6110 0.1671 0.6110
Fe 0.6110 0.6110 0.1671
Fe 0.6110 0.6110 0.6110
Fe 0.6623 0.0000 0.0000
Fe 0.6623 0.0000 0.3377
Fe 0.6623 0.3377 0.0000
Fe 0.8329 0.3890 0.3890
B 0.2717 0.2717 0.7283
B 0.2717 0.7283 0.2717
B 0.2717 0.7283 0.7283
B 0.7283 0.2717 0.2717
B 0.7283 0.2717 0.7283
B 0.7283 0.7283 0.2717

The 8 most intense peaks (10 to 80 degrees two-theta), in order of rising 2θ:
36.91 deg, 2.436 Å, I = 73.0; 40.57 deg, 2.223 Å, I = 62.2; 43.16 deg, 2.096 Å, I = 100.0; 47.20 deg, 1.926 Å, I = 32.8; 49.51 deg, 1.841 Å, I = 24.1; 56.00 deg, 1.642 Å, I = 19.9; 71.41 deg, 1.321 Å, I = 21.1; 73.82 deg, 1.284 Å, I = 38.4